This entry pairs a crystal structure of NdCoO3 with its computed powder diffractogram. Radiation: Cu Kα, 1.54184 Å. Structure: the PBE+U geometry in Alexandria.
Peak positions follow from Bragg's law for the DFT cell and can differ from measured ones.

Principal peaks in the range 2θ from 15° to 90°, sorted by position:
h k l  2theta  intensity
0 2 0  22.98  22
2 0 0  32.24  22
1 2 1  32.74  100
0 0 2  33.16  24
2 0 2  46.92  24
0 4 0  47.03  15
3 2 1  57.80  12
0 4 2  58.75  11
1 2 3  58.97  21
2 4 2  68.63  16

Cell and atoms:
```
data_NdCoO3
_cell_length_a 5.553
_cell_length_b 7.729
_cell_length_c 5.404
_cell_angle_alpha 90.00
_cell_angle_beta 90.00
_cell_angle_gamma 90.00
_symmetry_space_group_name_H-M 'P n m a'
_symmetry_Int_Tables_number 62
loop_
_symmetry_equiv_pos_as_xyz
'x,y,z'
'-x,-y,-z'
'-x+1/2,-y,z+1/2'
'x+1/2,y,-z+1/2'
'x+1/2,-y+1/2,-z+1/2'
'-x+1/2,y+1/2,z+1/2'
'-x,y+1/2,-z'
'x,-y+1/2,z'
loop_
_atom_site_label
_atom_site_fract_x
_atom_site_fract_y
_atom_site_fract_z
_atom_site_occupancy
Nd1 0.048 0.250 0.012 1
Co1 0.000 0.000 0.500 1
O1 0.018 0.750 0.421 1
O2 0.210 0.543 0.788 1
```